# Sr2Ca6FeCo7O24
Theoretical powder X-ray diffraction pattern, CuKα. Input: a structure optimized by DFT (GGA+U).
No peak broadening, texture or thermal motion is included.

Most intense lines, 10 to 90 degrees two-theta, by angle:
2θ 23.29, intensity 9; 2θ 33.18, intensity 100; 2θ 40.94, intensity 6; 2θ 47.55, intensity 15; 2θ 47.67, intensity 30; 2θ 59.26, intensity 24; 2θ 59.32, intensity 12; 2θ 69.63, intensity 20; 2θ 79.41, intensity 10; 2θ 88.75, intensity 8

Structure:
Cell: 7.649 7.631 7.631 Å, 90.05 90.00 90.00°
Fractional coordinates of all 40 atoms:
Sr (0.250, 0.000, 0.000)
Sr (0.750, 0.000, 0.000)
Ca (0.249, 0.000, 0.503)
Ca (0.249, 0.503, 0.000)
Ca (0.250, 0.504, 0.504)
Ca (0.750, 0.504, 0.504)
Ca (0.751, 0.000, 0.503)
Ca (0.751, 0.503, 0.000)
Fe (0.000, 0.252, 0.252)
Co (0.000, 0.253, 0.749)
Co (0.000, 0.749, 0.253)
Co (0.000, 0.750, 0.750)
Co (0.500, 0.253, 0.253)
Co (0.500, 0.253, 0.750)
Co (0.500, 0.750, 0.253)
Co (0.500, 0.750, 0.750)
O (0.000, 0.001, 0.257)
O (0.000, 0.010, 0.744)
O (0.000, 0.254, 0.501)
O (0.000, 0.257, 0.001)
O (0.000, 0.494, 0.750)
O (0.000, 0.501, 0.254)
O (0.000, 0.744, 0.010)
O (0.000, 0.750, 0.494)
O (0.237, 0.748, 0.748)
O (0.249, 0.257, 0.746)
O (0.249, 0.746, 0.257)
O (0.264, 0.254, 0.254)
O (0.500, 0.251, 0.509)
O (0.500, 0.259, 0.992)
O (0.500, 0.508, 0.747)
O (0.500, 0.509, 0.251)
O (0.500, 0.747, 0.508)
O (0.500, 0.747, 0.995)
O (0.500, 0.992, 0.259)
O (0.500, 0.995, 0.747)
O (0.736, 0.254, 0.254)
O (0.751, 0.257, 0.746)
O (0.751, 0.746, 0.257)
O (0.763, 0.748, 0.748)